No. 1
Calculated XRD peak list
Compound: Pa2CdCN5
Radiation: CuKα
Structure: a structure optimized by DFT (GGA-PBE)
Kinematic intensities with the Lorentz-polarization factor, no thermal factor.

```
data_Pa2CdCN5
_chemical_formula_sum 'Pa4 Cd2 C2 N10'
_space_group_name_H-M_alt 'P 4/m b m'
_space_group_IT_number 127
_space_group_name_Hall '-P 4 2ab'
_cell_length_a 6.6333
_cell_length_b 6.6333
_cell_length_c 5.1002
_cell_angle_alpha 90.00
_cell_angle_beta 90.00
_cell_angle_gamma 90.00
loop_
_atom_site_label
_atom_site_type_symbol
_atom_site_fract_x
_atom_site_fract_y
_atom_site_fract_z
Pa1 Pa 0.1854 0.3146 0.0000
Cd1 Cd 0.0000 0.0000 0.5000
C1 C 0.0000 0.5000 0.5000
N1 N 0.0000 0.0000 0.0000
N2 N 0.1201 0.6201 0.2764
```

Top 6 peaks for 2θ from 10° to 90°, in order of falling intensity:
32.19 deg, rel. 100, hkl 2 0 1
34.99 deg, rel. 84, hkl 2 1 1
17.39 deg, rel. 65, hkl 0 0 1
30.13 deg, rel. 45, hkl 2 1 0
46.99 deg, rel. 44, hkl 2 1 2
60.33 deg, rel. 33, hkl 4 1 1

***

No. 2
Calculated XRD peak list
Compound: Np4TcGe8
Radiation: CuKα
Structure: a structure optimized by DFT (GGA-PBE)
Kinematic intensities with the Lorentz-polarization factor, no thermal factor.

```
data_Np4TcGe8
_chemical_formula_sum 'Np4 Tc1 Ge8'
_space_group_name_H-M_alt 'P m m 2'
_space_group_IT_number 25
_space_group_name_Hall 'P 2 -2'
_cell_length_a 4.0427
_cell_length_b 4.2039
_cell_length_c 15.3684
_cell_angle_alpha 90.00
_cell_angle_beta 90.00
_cell_angle_gamma 90.00
loop_
_atom_site_label
_atom_site_type_symbol
_atom_site_fract_x
_atom_site_fract_y
_atom_site_fract_z
Np1 Np 0.0000 0.0000 0.0000
Np2 Np 0.0000 0.5000 0.4715
Np3 Np 0.5000 0.0000 0.7815
Np4 Np 0.5000 0.5000 0.2906
Tc1 Tc 0.0000 0.5000 0.6959
Ge1 Ge 0.0000 0.0000 0.3242
Ge2 Ge 0.0000 0.0000 0.6055
Ge3 Ge 0.0000 0.5000 0.1431
Ge4 Ge 0.0000 0.5000 0.8554
Ge5 Ge 0.5000 0.0000 0.1489
Ge6 Ge 0.5000 0.0000 0.4485
Ge7 Ge 0.5000 0.5000 0.6043
Ge8 Ge 0.5000 0.5000 0.9643
```

Top 6 peaks for 2θ from 10° to 90°, in order of falling intensity:
35.44 deg, rel. 100, hkl 1 1 3
24.89 deg, rel. 25, hkl 1 0 2
36.20 deg, rel. 21, hkl 0 1 5
43.03 deg, rel. 21, hkl 0 2 0
44.84 deg, rel. 19, hkl 2 0 0
21.92 deg, rel. 17, hkl 0 1 1

***

No. 3
Calculated XRD peak list
Compound: SrMg2Sn2O7
Radiation: CuKα
Structure: a structure optimized by DFT (GGA-PBE)
Kinematic intensities with the Lorentz-polarization factor, no thermal factor.

```
data_SrMg2Sn2O7
_chemical_formula_sum 'Sr2 Mg4 Sn4 O14'
_space_group_name_H-M_alt 'I m m 2'
_space_group_IT_number 44
_space_group_name_Hall 'I 2 -2'
_cell_length_a 4.1661
_cell_length_b 17.3178
_cell_length_c 4.1661
_cell_angle_alpha 90.00
_cell_angle_beta 90.00
_cell_angle_gamma 90.00
loop_
_atom_site_label
_atom_site_type_symbol
_atom_site_fract_x
_atom_site_fract_y
_atom_site_fract_z
Sr1 Sr 0.0000 0.0000 0.0000
Mg1 Mg 0.0000 0.2500 0.4982
Sn1 Sn 0.0000 0.3837 0.9984
O1 O 0.0000 0.1203 0.4980
O2 O 0.0000 0.2638 0.9982
O3 O 0.0000 0.3796 0.4982
O4 O 0.0000 0.5000 0.9962
```

Top 6 peaks for 2θ from 10° to 90°, in order of falling intensity:
26.38 deg, rel. 100, hkl 1 3 0
33.65 deg, rel. 80, hkl 1 5 0
43.44 deg, rel. 65, hkl 2 0 0
30.34 deg, rel. 49, hkl 1 0 1
21.94 deg, rel. 41, hkl 1 1 0
56.05 deg, rel. 39, hkl 2 5 1

***

No. 4
Calculated XRD peak list
Compound: Pm5Y2Ho12
Radiation: CuKα
Structure: a structure optimized by DFT (GGA-PBE)
Kinematic intensities with the Lorentz-polarization factor, no thermal factor.

```
data_Pm5Y2Ho12
_chemical_formula_sum 'Pm5 Y2 Ho12'
_space_group_name_H-M_alt 'P -1'
_space_group_IT_number 2
_space_group_name_Hall '-P 1'
_cell_length_a 7.9615
_cell_length_b 8.7182
_cell_length_c 9.4312
_cell_angle_alpha 90.04
_cell_angle_beta 94.82
_cell_angle_gamma 111.30
loop_
_atom_site_label
_atom_site_type_symbol
_atom_site_fract_x
_atom_site_fract_y
_atom_site_fract_z
Pm1 Pm 0.0000 0.0000 0.0000
Pm2 Pm 0.1584 0.0521 0.3684
Pm3 Pm 0.2616 0.4211 0.9473
Y1 Y 0.4212 0.4738 0.3167
Ho1 Ho 0.0545 0.6840 0.7876
Ho2 Ho 0.1037 0.3691 0.5791
Ho3 Ho 0.2123 0.7371 0.1587
Ho4 Ho 0.3185 0.1059 0.7359
Ho5 Ho 0.3675 0.7894 0.5271
Ho6 Ho 0.4755 0.1579 0.1050
```

Top 6 peaks for 2θ from 10° to 90°, in order of falling intensity:
30.74 deg, rel. 100, hkl 2 1 -1
35.64 deg, rel. 51, hkl 1 2 2
51.29 deg, rel. 36, hkl 4 0 1
60.97 deg, rel. 32, hkl 3 3 1
83.63 deg, rel. 12, hkl 0 1 8
61.06 deg, rel. 11, hkl 5 -3 1

***

No. 5
Calculated XRD peak list
Compound: BaRh4Au
Radiation: CuKα
Structure: a structure optimized by DFT (GGA-PBE)
Kinematic intensities with the Lorentz-polarization factor, no thermal factor.

```
data_BaRh4Au
_chemical_formula_sum 'Ba4 Rh16 Au4'
_space_group_name_H-M_alt 'F -4 3 m'
_space_group_IT_number 216
_space_group_name_Hall 'F -4 2 3'
_cell_length_a 7.6771
_cell_length_b 7.6771
_cell_length_c 7.6771
_cell_angle_alpha 90.00
_cell_angle_beta 90.00
_cell_angle_gamma 90.00
loop_
_atom_site_label
_atom_site_type_symbol
_atom_site_fract_x
_atom_site_fract_y
_atom_site_fract_z
Ba1 Ba 0.0000 0.0000 0.0000
Rh1 Rh 0.1240 0.1240 0.6240
Au1 Au 0.2500 0.2500 0.2500
```

Top 6 peaks for 2θ from 10° to 90°, in order of falling intensity:
38.91 deg, rel. 100, hkl 3 1 1
33.00 deg, rel. 43, hkl 2 2 0
62.90 deg, rel. 32, hkl 3 3 3
40.71 deg, rel. 27, hkl 2 2 2
69.23 deg, rel. 26, hkl 4 4 0
58.94 deg, rel. 16, hkl 4 2 2